Diffraction record for Sr2NdMn2O7. The powder X-ray diffraction pattern is simulated, not measured: it uses DFT lattice parameters and positions (PBE+U) and a wavelength of 1.5418 Å.
Intensities are scaled so that the largest is 100.

Structural model:
Unit cell a=10.4669 b=10.4669 c=10.4669 alpha=158.46 beta=158.46 gamma=30.65
Fractional positions:
Sr 0.0000 0.0000 0.0000
Sr 0.1773 0.1773 0.0000
Nd 0.8126 0.8126 0.0000
Mn 0.3982 0.3982 0.0000
Mn 0.5937 0.5937 0.0000
O 0.0924 0.5924 0.5000
O 0.2985 0.2985 0.0000
O 0.3906 0.8906 0.5000
O 0.4933 0.4933 0.0000
O 0.5924 0.0924 0.5000
O 0.6974 0.6974 0.0000
O 0.8906 0.3906 0.5000

Principal peaks in the range 10 to 80 degrees two-theta, in order of falling intensity:
2θ (°)  I/Imax
31.85  100.0
32.36  68.2
46.42  40.9
57.40  37.7
42.30  25.5
66.56  14.3
56.42  14.1
44.90  13.1
26.35  12.4
67.75  12.0